(1)
Simulated powder diffractogram
Compound: DyNi2P2
Radiation: a wavelength of 1.5418 Å
Structure: a crystal structure in the Materials Project, relaxed with PBE
Lines closer than 0.1° are merged.

Most intense lines, 2θ from 10° to 90°, in order of falling intensity:
2θ 38.07, I = 100
2θ 36.95, I = 51
2θ 24.88, I = 46
2θ 46.95, I = 39
2θ 61.20, I = 23
2θ 81.22, I = 21
2θ 54.34, I = 17
2θ 69.20, I = 16
2θ 38.38, I = 15
2θ 62.19, I = 14

Structure:
```
data_DyNi2P2
_cell_length_a 3.8707
_cell_length_b 3.8707
_cell_length_c 9.3814
_cell_angle_alpha 90.00
_cell_angle_beta 90.00
_cell_angle_gamma 90.00
_symmetry_space_group_name_H-M 'I 4/m m m'
_symmetry_Int_Tables_number 139
_symmetry_space_group_name_Hall '-I 4 2'
loop_
_atom_site_label
_atom_site_type_symbol
_atom_site_fract_x
_atom_site_fract_y
_atom_site_fract_z
Dy1 Dy 0.0000 0.0000 0.0000
Ni1 Ni 0.0000 0.5000 0.2500
P1 P 0.0000 0.0000 0.3771
```


(2)
Simulated powder diffractogram
Compound: Dy5NiPb3
Radiation: a wavelength of 1.5418 Å
Structure: a crystal structure in the Materials Project, relaxed with PBE
Lines closer than 0.1° are merged.

Most intense lines, 2θ from 10° to 90°, in order of falling intensity:
2θ 32.66, I = 100
2θ 33.05, I = 81
2θ 33.84, I = 39
2θ 50.85, I = 29
2θ 26.53, I = 19
2θ 64.90, I = 19
2θ 43.20, I = 19
2θ 29.74, I = 17
2θ 48.02, I = 16
2θ 54.63, I = 12

Structure:
```
data_Dy5NiPb3
_cell_length_a 9.1765
_cell_length_b 9.1765
_cell_length_c 6.7196
_cell_angle_alpha 90.00
_cell_angle_beta 90.00
_cell_angle_gamma 120.00
_symmetry_space_group_name_H-M 'P 63/m c m'
_symmetry_Int_Tables_number 193
_symmetry_space_group_name_Hall '-P 6c 2'
loop_
_atom_site_label
_atom_site_type_symbol
_atom_site_fract_x
_atom_site_fract_y
_atom_site_fract_z
Dy1 Dy 0.0000 0.2377 0.2500
Dy2 Dy 0.3333 0.6667 0.0000
Ni1 Ni 0.0000 0.0000 0.0000
Pb1 Pb 0.0000 0.4004 0.7500
```


(3)
Simulated powder diffractogram
Compound: Dy12Ni6Pb
Radiation: a wavelength of 1.5418 Å
Structure: a crystal structure in the Materials Project, relaxed with PBE
Lines closer than 0.1° are merged.

Most intense lines, 2θ from 10° to 90°, in order of falling intensity:
2θ 34.64, I = 100
2θ 29.14, I = 44
2θ 31.99, I = 41
2θ 58.74, I = 37
2θ 55.28, I = 32
2θ 47.87, I = 22
2θ 68.47, I = 19
2θ 84.92, I = 17
2θ 86.37, I = 16
2θ 37.11, I = 16

Structure:
```
data_Dy12Ni6Pb
_cell_length_a 9.6901
_cell_length_b 9.6901
_cell_length_c 9.6901
_cell_angle_alpha 90.00
_cell_angle_beta 90.00
_cell_angle_gamma 90.00
_symmetry_space_group_name_H-M 'I m -3'
_symmetry_Int_Tables_number 204
_symmetry_space_group_name_Hall '-I 2 2 3'
loop_
_atom_site_label
_atom_site_type_symbol
_atom_site_fract_x
_atom_site_fract_y
_atom_site_fract_z
Dy1 Dy 0.0000 0.3049 0.1880
Ni1 Ni 0.0000 0.1242 0.5000
Pb1 Pb 0.0000 0.0000 0.0000
```


(4)
Simulated powder diffractogram
Compound: Dy3NiPd2
Radiation: a wavelength of 1.5418 Å
Structure: a crystal structure in the Materials Project, relaxed with PBE
Lines closer than 0.1° are merged.

Most intense lines, 2θ from 10° to 90°, in order of falling intensity:
2θ 32.49, I = 100
2θ 35.02, I = 92
2θ 40.14, I = 65
2θ 40.55, I = 48
2θ 34.80, I = 43
2θ 37.92, I = 43
2θ 40.34, I = 42
2θ 29.74, I = 28
2θ 27.66, I = 25
2θ 54.16, I = 25

Structure:
```
data_Dy3NiPd2
_cell_length_a 5.5268
_cell_length_b 4.4926
_cell_length_c 10.5450
_cell_angle_alpha 90.00
_cell_angle_beta 96.98
_cell_angle_gamma 90.00
_symmetry_space_group_name_H-M 'P 1 21/m 1'
_symmetry_Int_Tables_number 11
loop_
_symmetry_equiv_pos_as_xyz
'x,y,z'
'-x,-y,-z'
'-x,y+1/2,-z'
'x,-y+1/2,z'
loop_
_atom_site_label
_atom_site_type_symbol
_atom_site_fract_x
_atom_site_fract_y
_atom_site_fract_z
Dy1 Dy 0.0959 0.2500 0.2837
Dy2 Dy 0.2412 0.2500 0.9563
Dy3 Dy 0.3887 0.2500 0.6237
Ni1 Ni 0.2748 0.7500 0.1404
Pd1 Pd 0.1462 0.7500 0.4719
Pd2 Pd 0.4237 0.7500 0.8060
```


(5)
Simulated powder diffractogram
Compound: Dy2NiRu
Radiation: a wavelength of 1.5418 Å
Structure: a crystal structure in the Materials Project, relaxed with PBE
Lines closer than 0.1° are merged.

Most intense lines, 2θ from 10° to 90°, in order of falling intensity:
2θ 37.47, I = 100
2θ 67.61, I = 35
2θ 54.03, I = 17
2θ 26.26, I = 12
2θ 79.94, I = 11
2θ 61.04, I = 5
2θ 46.33, I = 4
2θ 85.90, I = 3
2θ 22.69, I = 2
2θ 44.25, I = 1

Structure:
```
data_Dy2NiRu
_cell_length_a 6.7886
_cell_length_b 6.7886
_cell_length_c 6.7886
_cell_angle_alpha 90.00
_cell_angle_beta 90.00
_cell_angle_gamma 90.00
_symmetry_space_group_name_H-M 'F m -3 m'
_symmetry_Int_Tables_number 225
_symmetry_space_group_name_Hall '-F 4 2 3'
loop_
_atom_site_label
_atom_site_type_symbol
_atom_site_fract_x
_atom_site_fract_y
_atom_site_fract_z
Dy1 Dy 0.2500 0.2500 0.2500
Ni1 Ni 0.0000 0.0000 0.0000
Ru1 Ru 0.0000 0.0000 0.5000
```


(6)
Simulated powder diffractogram
Compound: DyNi2Sb2
Radiation: a wavelength of 1.5418 Å
Structure: a crystal structure in the Materials Project, relaxed with PBE
Lines closer than 0.1° are merged.

Most intense lines, 2θ from 10° to 90°, in order of falling intensity:
2θ 33.97, I = 100
2θ 40.95, I = 41
2θ 54.20, I = 21
2θ 70.13, I = 19
2θ 59.30, I = 14
2θ 50.53, I = 13
2θ 66.98, I = 11
2θ 28.64, I = 10
2θ 46.87, I = 9
2θ 63.82, I = 8

Structure:
```
data_DyNi2Sb2
_cell_length_a 4.4077
_cell_length_b 4.4077
_cell_length_c 9.9013
_cell_angle_alpha 90.00
_cell_angle_beta 90.00
_cell_angle_gamma 90.00
_symmetry_space_group_name_H-M 'P 4/n m m'
_symmetry_Int_Tables_number 129
loop_
_symmetry_equiv_pos_as_xyz
'x,y,z'
'-x,-y,-z'
'-y+1/2,x,z'
'y+1/2,-x,-z'
'-x+1/2,-y+1/2,z'
'x+1/2,y+1/2,-z'
'y,-x+1/2,z'
'-y,x+1/2,-z'
'x+1/2,-y,-z'
'-x+1/2,y,z'
'-y,-x,-z'
'y,x,z'
'-x,y+1/2,-z'
'x,-y+1/2,z'
'y+1/2,x+1/2,-z'
'-y+1/2,-x+1/2,z'
loop_
_atom_site_label
_atom_site_type_symbol
_atom_site_fract_x
_atom_site_fract_y
_atom_site_fract_z
Dy1 Dy 0.2500 0.2500 0.2413
Ni1 Ni 0.2500 0.2500 0.6248
Ni2 Ni 0.2500 0.7500 0.0000
Sb1 Sb 0.2500 0.2500 0.8730
Sb2 Sb 0.2500 0.7500 0.5000
```


(7)
Simulated powder diffractogram
Compound: Dy3Si2Ni6
Radiation: a wavelength of 1.5418 Å
Structure: a crystal structure in the Materials Project, relaxed with PBE
Lines closer than 0.1° are merged.

Most intense lines, 2θ from 10° to 90°, in order of falling intensity:
2θ 43.86, I = 100
2θ 32.32, I = 41
2θ 38.46, I = 32
2θ 35.51, I = 30
2θ 41.23, I = 25
2θ 80.60, I = 22
2θ 65.72, I = 21
2θ 24.90, I = 21
2θ 71.44, I = 19
2θ 28.83, I = 16

Structure:
```
data_Dy3Si2Ni6
_cell_length_a 8.7585
_cell_length_b 8.7585
_cell_length_c 8.7585
_cell_angle_alpha 90.00
_cell_angle_beta 90.00
_cell_angle_gamma 90.00
_symmetry_space_group_name_H-M 'I m -3 m'
_symmetry_Int_Tables_number 229
_symmetry_space_group_name_Hall '-I 4 2 3'
loop_
_atom_site_label
_atom_site_type_symbol
_atom_site_fract_x
_atom_site_fract_y
_atom_site_fract_z
Dy1 Dy 0.0000 0.0000 0.2849
Si1 Si 0.2500 0.2500 0.2500
Ni1 Ni 0.0000 0.3311 0.3311
```


(8)
Simulated powder diffractogram
Compound: DySi3Ni5
Radiation: a wavelength of 1.5418 Å
Structure: a crystal structure in the Materials Project, relaxed with PBE
Lines closer than 0.1° are merged.

Most intense lines, 2θ from 10° to 90°, in order of falling intensity:
2θ 39.03, I = 100
2θ 48.05, I = 31
2θ 37.39, I = 30
2θ 36.35, I = 29
2θ 36.45, I = 21
2θ 43.72, I = 16
2θ 45.65, I = 14
2θ 25.38, I = 12
2θ 52.09, I = 12
2θ 61.72, I = 12

Structure:
```
data_DySi3Ni5
_cell_length_a 18.6798
_cell_length_b 3.7868
_cell_length_c 6.5860
_cell_angle_alpha 90.00
_cell_angle_beta 90.00
_cell_angle_gamma 90.00
_symmetry_space_group_name_H-M 'P n m a'
_symmetry_Int_Tables_number 62
loop_
_symmetry_equiv_pos_as_xyz
'x,y,z'
'-x,-y,-z'
'-x+1/2,-y,z+1/2'
'x+1/2,y,-z+1/2'
'x+1/2,-y+1/2,-z+1/2'
'-x+1/2,y+1/2,z+1/2'
'-x,y+1/2,-z'
'x,-y+1/2,z'
loop_
_atom_site_label
_atom_site_type_symbol
_atom_site_fract_x
_atom_site_fract_y
_atom_site_fract_z
Dy1 Dy 0.1441 0.2500 0.1238
Si1 Si 0.0745 0.7500 0.8447
Si2 Si 0.0856 0.7500 0.4187
Si3 Si 0.2374 0.2500 0.6237
Ni1 Ni 0.0053 0.7500 0.1325
Ni2 Ni 0.0150 0.2500 0.3852
Ni3 Ni 0.1153 0.2500 0.6433
Ni4 Ni 0.1996 0.7500 0.8160
Ni5 Ni 0.2061 0.7500 0.4318
```


(9)
Simulated powder diffractogram
Compound: DySiNi4
Radiation: a wavelength of 1.5418 Å
Structure: a crystal structure in the Materials Project, relaxed with PBE
Lines closer than 0.1° are merged.

Most intense lines, 2θ from 10° to 90°, in order of falling intensity:
2θ 44.19, I = 100
2θ 42.39, I = 87
2θ 31.56, I = 56
2θ 37.46, I = 54
2θ 46.15, I = 44
2θ 41.91, I = 42
2θ 30.77, I = 37
2θ 60.88, I = 25
2θ 69.65, I = 25
2θ 22.60, I = 25

Structure:
```
data_DySiNi4
_cell_length_a 5.0743
_cell_length_b 8.1761
_cell_length_c 3.9342
_cell_angle_alpha 90.00
_cell_angle_beta 90.00
_cell_angle_gamma 90.00
_symmetry_space_group_name_H-M 'C m m m'
_symmetry_Int_Tables_number 65
_symmetry_space_group_name_Hall '-C 2 2'
loop_
_atom_site_label
_atom_site_type_symbol
_atom_site_fract_x
_atom_site_fract_y
_atom_site_fract_z
Dy1 Dy 0.0000 0.0000 0.0000
Si1 Si 0.0000 0.5000 0.5000
Ni1 Ni 0.0000 0.3426 0.0000
Ni2 Ni 0.2500 0.2500 0.5000
```


(10)
Simulated powder diffractogram
Compound: Dy2Si3Ni
Radiation: a wavelength of 1.5418 Å
Structure: a crystal structure in the Materials Project, relaxed with PBE
Lines closer than 0.1° are merged.

Most intense lines, 2θ from 10° to 90°, in order of falling intensity:
2θ 34.23, I = 100
2θ 25.64, I = 40
2θ 45.21, I = 33
2θ 57.91, I = 22
2θ 76.36, I = 21
2θ 66.07, I = 20
2θ 52.95, I = 10
2θ 45.49, I = 10
2θ 76.77, I = 8
2θ 22.29, I = 8

Structure:
```
data_Dy2Si3Ni
_cell_length_a 4.0113
_cell_length_b 4.0113
_cell_length_c 7.9758
_cell_angle_alpha 90.00
_cell_angle_beta 90.00
_cell_angle_gamma 120.00
_symmetry_space_group_name_H-M 'P -6 m 2'
_symmetry_Int_Tables_number 187
_symmetry_space_group_name_Hall 'P -6 2'
loop_
_atom_site_label
_atom_site_type_symbol
_atom_site_fract_x
_atom_site_fract_y
_atom_site_fract_z
Dy1 Dy 0.0000 0.0000 0.2383
Si1 Si 0.3333 0.6667 0.5000
Si2 Si 0.6667 0.3333 0.0000
Si3 Si 0.6667 0.3333 0.5000
Ni1 Ni 0.3333 0.6667 0.0000
```